For La3InPd, a PBE-relaxed structure gives the calculated powder diffractogram in this record (Cu Kα, 1.54184 Å).
Intensities are scaled so that the largest is 100.

```
data_La3InPd
_cell_length_a 7.8520
_cell_length_b 7.8520
_cell_length_c 5.7213
_cell_angle_alpha 90.00
_cell_angle_beta 90.00
_cell_angle_gamma 120.00
_symmetry_space_group_name_H-M 'P 63/m m c'
_symmetry_Int_Tables_number 194
_symmetry_space_group_name_Hall '-P 6c 2c'
loop_
_atom_site_label
_atom_site_type_symbol
_atom_site_fract_x
_atom_site_fract_y
_atom_site_fract_z
La1 La 0.1903 0.3807 0.2500
In1 In 0.3333 0.6667 0.7500
Pd1 Pd 0.0000 0.0000 0.0000
```

Largest 8 diffraction maxima, in order of rising 2θ, 5 to 70 degrees two-theta:
2θ 30.6, I = 100, hkl 2 0 1; 2θ 31.3, I = 15, hkl 0 0 2; 2θ 34.0, I = 12, hkl 1 0 2; 2θ 34.9, I = 23, hkl 2 1 0; 2θ 41.2, I = 31, hkl 2 0 2; 2θ 46.2, I = 25, hkl 2 2 0; 2θ 55.2, I = 19, hkl 2 0 3; 2θ 56.5, I = 12, hkl 4 0 1

---

For LaIn9Pd2, a PBE-relaxed structure gives the calculated powder diffractogram in this record (Cu Kα, 1.54184 Å).
Intensities are scaled so that the largest is 100.

```
data_LaIn9Pd2
_cell_length_a 12.640
_cell_length_b 12.640
_cell_length_c 7.318
_cell_angle_alpha 90.00
_cell_angle_beta 90.00
_cell_angle_gamma 90.00
_symmetry_space_group_name_H-M 'I 41/a m d'
_symmetry_Int_Tables_number 141
loop_
_symmetry_equiv_pos_as_xyz
'x,y,z'
'-x,-y,-z'
'-y+1/4,x+3/4,z+1/4'
'y+1/4,-x+3/4,-z+1/4'
'-x+1/2,-y,z+1/2'
'x+1/2,y,-z+1/2'
'y+1/4,-x+1/4,z+3/4'
'-y+1/4,x+1/4,-z+3/4'
'x,-y,-z'
'-x,y,z'
'-y+1/4,-x+1/4,-z+3/4'
'y+1/4,x+1/4,z+3/4'
'-x+1/2,y,-z+1/2'
'x+1/2,-y,z+1/2'
'y+1/4,x+3/4,-z+1/4'
'-y+1/4,-x+3/4,z+1/4'
'x+1/2,y+1/2,z+1/2'
'-x+1/2,-y+1/2,-z+1/2'
'-y+3/4,x+1/4,z+3/4'
'y+3/4,-x+1/4,-z+3/4'
'-x,-y+1/2,z'
'x,y+1/2,-z'
'y+3/4,-x+3/4,z+1/4'
'-y+3/4,x+3/4,-z+1/4'
'x+1/2,-y+1/2,-z+1/2'
'-x+1/2,y+1/2,z+1/2'
'-y+3/4,-x+3/4,-z+1/4'
'y+3/4,x+3/4,z+1/4'
'-x,y+1/2,-z'
'x,-y+1/2,z'
'y+3/4,x+1/4,-z+3/4'
'-y+3/4,-x+1/4,z+3/4'
loop_
_atom_site_label
_atom_site_type_symbol
_atom_site_fract_x
_atom_site_fract_y
_atom_site_fract_z
La1 La 0.000 0.250 0.375
In1 In 0.000 0.250 0.875
In2 In 0.121 0.067 0.671
Pd1 Pd 0.000 0.000 0.000
```

Largest 8 diffraction maxima, in order of rising 2θ, 5 to 70 degrees two-theta:
2θ 28.2, I = 23, hkl 3 2 1; 2θ 31.7, I = 46, hkl 4 2 0; 2θ 33.2, I = 100, hkl 3 1 2; 2θ 37.6, I = 100, hkl 5 0 1; 2θ 40.3, I = 56, hkl 4 4 0; 2θ 57.4, I = 19, hkl 5 5 2; 2θ 64.2, I = 14, hkl 8 0 2; 2θ 66.1, I = 15, hkl 8 4 0

---

For LaInPd3, a PBE-relaxed structure gives the calculated powder diffractogram in this record (Cu Kα, 1.54184 Å).
Intensities are scaled so that the largest is 100.

```
data_LaInPd3
_cell_length_a 5.463
_cell_length_b 7.884
_cell_length_c 5.359
_cell_angle_alpha 90.00
_cell_angle_beta 90.00
_cell_angle_gamma 90.00
_symmetry_space_group_name_H-M 'P b a m'
_symmetry_Int_Tables_number 55
_symmetry_space_group_name_Hall '-P 2 2ab'
loop_
_atom_site_label
_atom_site_type_symbol
_atom_site_fract_x
_atom_site_fract_y
_atom_site_fract_z
La1 La 0.000 0.000 0.000
In1 In 0.000 0.500 0.500
Pd1 Pd 0.000 0.500 0.000
Pd2 Pd 0.053 0.170 0.500
```

Largest 8 diffraction maxima, in order of rising 2θ, 5 to 70 degrees two-theta:
2θ 22.6, I = 49, hkl 0 2 0; 2θ 28.1, I = 57, hkl 0 2 1; 2θ 32.8, I = 90, hkl 2 0 0; 2θ 33.4, I = 100, hkl 0 0 2; 2θ 38.0, I = 36, hkl 1 3 0; 2θ 41.7, I = 79, hkl 1 3 1; 2θ 47.5, I = 62, hkl 2 0 2; 2θ 51.5, I = 29, hkl 1 3 2

---

For La3In2Pd4, a PBE-relaxed structure gives the calculated powder diffractogram in this record (Cu Kα, 1.54184 Å).
Intensities are scaled so that the largest is 100.

```
data_La3In2Pd4
_cell_length_a 10.263
_cell_length_b 4.685
_cell_length_c 9.055
_cell_angle_alpha 90.00
_cell_angle_beta 94.32
_cell_angle_gamma 90.00
_symmetry_space_group_name_H-M 'C 1 2/m 1'
_symmetry_Int_Tables_number 12
_symmetry_space_group_name_Hall '-C 2y'
loop_
_atom_site_label
_atom_site_type_symbol
_atom_site_fract_x
_atom_site_fract_y
_atom_site_fract_z
La1 La 0.000 0.000 0.000
La2 La 0.127 0.500 0.389
In1 In 0.176 0.500 0.783
Pd1 Pd 0.081 0.000 0.632
Pd2 Pd 0.220 0.500 0.089
```

Largest 8 diffraction maxima, in order of rising 2θ, 5 to 70 degrees two-theta:
2θ 28.4, I = 24, hkl 1 1 -2; 2θ 32.5, I = 65, hkl 3 1 0; 2θ 33.4, I = 31, hkl 2 0 -3; 2θ 37.1, I = 100, hkl 1 1 3; 2θ 38.4, I = 49, hkl 0 2 0; 2θ 39.3, I = 23, hkl 3 1 2; 2θ 51.8, I = 17, hkl 2 2 -3; 2θ 67.1, I = 20, hkl 7 1 -1

---

For LaIn5Pd3, a PBE-relaxed structure gives the calculated powder diffractogram in this record (Cu Kα, 1.54184 Å).
Intensities are scaled so that the largest is 100.

```
data_LaIn5Pd3
_cell_length_a 4.251
_cell_length_b 14.271
_cell_length_c 13.854
_cell_angle_alpha 90.00
_cell_angle_beta 90.00
_cell_angle_gamma 90.00
_symmetry_space_group_name_H-M 'C m c m'
_symmetry_Int_Tables_number 63
_symmetry_space_group_name_Hall '-C 2c 2'
loop_
_atom_site_label
_atom_site_type_symbol
_atom_site_fract_x
_atom_site_fract_y
_atom_site_fract_z
La1 La 0.000 0.174 0.250
In1 In 0.000 0.000 0.000
In2 In 0.000 0.203 0.561
In3 In 0.000 0.440 0.149
Pd1 Pd 0.000 0.153 0.750
Pd2 Pd 0.000 0.390 0.556
```

Largest 8 diffraction maxima, in order of rising 2θ, 5 to 70 degrees two-theta:
2θ 28.1, I = 47, hkl 1 3 0; 2θ 29.2, I = 83, hkl 1 1 3; 2θ 31.0, I = 74, hkl 1 3 2; 2θ 34.0, I = 80, hkl 1 1 4; 2θ 38.0, I = 100, hkl 1 5 0; 2θ 39.3, I = 54, hkl 1 1 5; 2θ 42.5, I = 74, hkl 2 0 0; 2θ 42.8, I = 36, hkl 0 6 3

---

For La2In12Pd7, a PBE-relaxed structure gives the calculated powder diffractogram in this record (Cu Kα, 1.54184 Å).
Intensities are scaled so that the largest is 100.

```
data_La2In12Pd7
_cell_length_a 10.8437
_cell_length_b 10.8437
_cell_length_c 4.5038
_cell_angle_alpha 90.00
_cell_angle_beta 90.00
_cell_angle_gamma 120.00
_symmetry_space_group_name_H-M 'P -6'
_symmetry_Int_Tables_number 174
_symmetry_space_group_name_Hall 'P -6'
loop_
_atom_site_label
_atom_site_type_symbol
_atom_site_fract_x
_atom_site_fract_y
_atom_site_fract_z
La1 La 0.0000 0.0000 0.0000
La2 La 0.3333 0.6667 0.5000
In1 In 0.0270 0.2818 0.5000
In2 In 0.1429 0.7461 0.0000
In3 In 0.3726 0.1936 0.0000
In4 In 0.5398 0.4181 0.5000
Pd1 Pd 0.0318 0.4566 0.0000
Pd2 Pd 0.2425 0.2276 0.5000
Pd3 Pd 0.6667 0.3333 0.0000
```

Largest 8 diffraction maxima, in order of rising 2θ, 5 to 70 degrees two-theta:
2θ 32.1, I = 100, hkl 2 1 1; 2θ 33.0, I = 16, hkl 2 2 0; 2θ 38.8, I = 31, hkl 2 2 1; 2θ 40.0, I = 74, hkl 0 0 2; 2θ 44.2, I = 16, hkl 1 4 0; 2θ 52.8, I = 14, hkl 2 2 2; 2θ 61.1, I = 12, hkl 1 4 2; 2θ 67.8, I = 11, hkl 2 1 3

---

For La4In21Pd10, a PBE-relaxed structure gives the calculated powder diffractogram in this record (Cu Kα, 1.54184 Å).
Intensities are scaled so that the largest is 100.

```
data_La4In21Pd10
_cell_length_a 23.504
_cell_length_b 4.635
_cell_length_c 17.267
_cell_angle_alpha 90.00
_cell_angle_beta 124.15
_cell_angle_gamma 90.00
_symmetry_space_group_name_H-M 'C 1 2/m 1'
_symmetry_Int_Tables_number 12
_symmetry_space_group_name_Hall '-C 2y'
loop_
_atom_site_label
_atom_site_type_symbol
_atom_site_fract_x
_atom_site_fract_y
_atom_site_fract_z
La1 La 0.123 0.000 0.335
La2 La 0.229 0.000 0.827
In1 In 0.000 0.500 0.500
In2 In 0.010 0.000 0.094
In3 In 0.042 0.500 0.368
In4 In 0.066 0.000 0.799
In5 In 0.101 0.500 0.999
In6 In 0.115 0.500 0.704
In7 In 0.117 0.000 0.554
In8 In 0.129 0.500 0.198
In9 In 0.200 0.000 0.003
In10 In 0.201 0.500 0.501
In11 In 0.248 0.500 0.705
Pd1 Pd 0.005 0.500 0.186
Pd2 Pd 0.024 0.000 0.611
Pd3 Pd 0.136 0.000 0.107
Pd4 Pd 0.154 0.500 0.889
Pd5 Pd 0.249 0.500 0.384
```

Largest 8 diffraction maxima, in order of rising 2θ, 5 to 70 degrees two-theta:
2θ 32.8, I = 50, hkl 5 1 -5; 2θ 33.2, I = 70, hkl 5 1 1; 2θ 33.4, I = 40, hkl 7 1 -2; 2θ 33.7, I = 38, hkl 7 1 -4; 2θ 34.0, I = 66, hkl 1 1 4; 2θ 38.9, I = 100, hkl 0 2 0; 2θ 40.5, I = 38, hkl 1 1 -6; 2θ 42.3, I = 30, hkl 9 1 -6

---

For La5In4Pd, a PBE-relaxed structure gives the calculated powder diffractogram in this record (Cu Kα, 1.54184 Å).
Intensities are scaled so that the largest is 100.

```
data_La5In4Pd
_cell_length_a 3.731
_cell_length_b 3.731
_cell_length_c 21.243
_cell_angle_alpha 90.00
_cell_angle_beta 90.00
_cell_angle_gamma 90.00
_symmetry_space_group_name_H-M 'P 4/m m m'
_symmetry_Int_Tables_number 123
_symmetry_space_group_name_Hall '-P 4 2'
loop_
_atom_site_label
_atom_site_type_symbol
_atom_site_fract_x
_atom_site_fract_y
_atom_site_fract_z
La1 La 0.000 0.000 0.000
La2 La 0.000 0.000 0.208
La3 La 0.000 0.000 0.416
In1 In 0.500 0.500 0.104
In2 In 0.500 0.500 0.311
Pd1 Pd 0.500 0.500 0.500
```

Largest 8 diffraction maxima, in order of rising 2θ, 5 to 70 degrees two-theta:
2θ 31.9, I = 100, hkl 1 0 5; 2θ 34.0, I = 47, hkl 1 1 0; 2θ 42.6, I = 8, hkl 0 0 10; 2θ 48.8, I = 17, hkl 2 0 0; 2θ 55.5, I = 15, hkl 1 1 10; 2θ 59.5, I = 33, hkl 2 1 5; 2θ 66.5, I = 5, hkl 1 0 14; 2θ 66.7, I = 9, hkl 2 0 10

---

For LaTmInPd, a PBE-relaxed structure gives the calculated powder diffractogram in this record (Cu Kα, 1.54184 Å).
Intensities are scaled so that the largest is 100.

```
data_LaTmInPd
_cell_length_a 7.450
_cell_length_b 7.450
_cell_length_c 7.450
_cell_angle_alpha 90.00
_cell_angle_beta 90.00
_cell_angle_gamma 90.00
_symmetry_space_group_name_H-M 'F -4 3 m'
_symmetry_Int_Tables_number 216
_symmetry_space_group_name_Hall 'F -4 2 3'
loop_
_atom_site_label
_atom_site_type_symbol
_atom_site_fract_x
_atom_site_fract_y
_atom_site_fract_z
La1 La 0.000 0.000 0.000
Tm1 Tm 0.000 0.000 0.500
In1 In 0.250 0.250 0.250
Pd1 Pd 0.250 0.250 0.750
```

Largest 7 diffraction maxima, in order of rising 2θ, 5 to 70 degrees two-theta:
2θ 20.7, I = 1, hkl 1 1 1; 2θ 23.9, I = 3, hkl 2 0 0; 2θ 34.0, I = 100, hkl 2 2 0; 2θ 42.0, I = 1, hkl 2 2 2; 2θ 48.9, I = 18, hkl 4 0 0; 2θ 55.1, I = 1, hkl 4 2 0; 2θ 60.9, I = 37, hkl 4 2 2

---

For La5Pm4In, a PBE-relaxed structure gives the calculated powder diffractogram in this record (Cu Kα, 1.54184 Å).
Intensities are scaled so that the largest is 100.

```
data_La5Pm4In
_cell_length_a 10.550
_cell_length_b 10.550
_cell_length_c 6.296
_cell_angle_alpha 90.00
_cell_angle_beta 90.00
_cell_angle_gamma 90.00
_symmetry_space_group_name_H-M 'I 4'
_symmetry_Int_Tables_number 79
_symmetry_space_group_name_Hall 'I 4'
loop_
_atom_site_label
_atom_site_type_symbol
_atom_site_fract_x
_atom_site_fract_y
_atom_site_fract_z
La1 La 0.000 0.000 0.000
La2 La 0.189 0.808 0.250
Pm1 Pm 0.002 0.685 0.743
In1 In 0.000 0.000 0.514
```

Largest 8 diffraction maxima, in order of rising 2θ, 5 to 70 degrees two-theta:
2θ 28.3, I = 18, hkl 0 0 2; 2θ 29.1, I = 100, hkl 3 0 1; 2θ 30.8, I = 13, hkl 1 1 2; 2θ 33.1, I = 19, hkl 2 0 2; 2θ 36.1, I = 38, hkl 3 3 0; 2θ 46.5, I = 13, hkl 3 3 2; 2θ 50.7, I = 20, hkl 3 0 3; 2θ 60.7, I = 15, hkl 6 3 1

---

For La7Pm12In, a PBE-relaxed structure gives the calculated powder diffractogram in this record (Cu Kα, 1.54184 Å).
Intensities are scaled so that the largest is 100.

```
data_La7Pm12In
_cell_length_a 12.5325
_cell_length_b 12.5325
_cell_length_c 15.7002
_cell_angle_alpha 90.00
_cell_angle_beta 90.00
_cell_angle_gamma 120.00
_symmetry_space_group_name_H-M 'R -3'
_symmetry_Int_Tables_number 148
_symmetry_space_group_name_Hall '-R 3'
loop_
_atom_site_label
_atom_site_type_symbol
_atom_site_fract_x
_atom_site_fract_y
_atom_site_fract_z
La1 La 0.0000 0.0000 0.0000
La2 La 0.0087 0.4282 0.7013
Pm1 Pm 0.0363 0.1863 0.8077
Pm2 Pm 0.0685 0.8097 0.4247
In1 In 0.0000 0.0000 0.5000
```

Largest 8 diffraction maxima, in order of rising 2θ, 5 to 70 degrees two-theta:
2θ 29.6, I = 29, hkl 0 1 5; 2θ 30.0, I = 29, hkl 0 3 3; 2θ 30.2, I = 100, hkl 4 -3 1; 2θ 31.5, I = 67, hkl 3 -1 4; 2θ 31.8, I = 49, hkl 3 1 2; 2θ 33.0, I = 24, hkl 2 0 5; 2θ 52.1, I = 16, hkl 5 -4 6; 2θ 52.6, I = 21, hkl 2 5 0

---

For La8Pm3In, a PBE-relaxed structure gives the calculated powder diffractogram in this record (Cu Kα, 1.54184 Å).
Intensities are scaled so that the largest is 100.

```
data_La8Pm3In
_cell_length_a 8.779
_cell_length_b 8.779
_cell_length_c 11.844
_cell_angle_alpha 90.00
_cell_angle_beta 90.00
_cell_angle_gamma 90.00
_symmetry_space_group_name_H-M 'I -4 2 m'
_symmetry_Int_Tables_number 121
_symmetry_space_group_name_Hall 'I -4 2'
loop_
_atom_site_label
_atom_site_type_symbol
_atom_site_fract_x
_atom_site_fract_y
_atom_site_fract_z
La1 La 0.128 0.128 0.250
La2 La 0.246 0.246 0.510
Pm1 Pm 0.000 0.000 0.500
Pm2 Pm 0.000 0.500 0.250
In1 In 0.000 0.000 0.000
```

Largest 8 diffraction maxima, in order of rising 2θ, 5 to 70 degrees two-theta:
2θ 23.9, I = 62, hkl 2 1 1; 2θ 25.3, I = 52, hkl 2 0 2; 2θ 28.8, I = 76, hkl 2 2 0; 2θ 30.2, I = 74, hkl 0 0 4; 2θ 32.2, I = 39, hkl 2 1 3; 2θ 35.7, I = 100, hkl 3 1 2; 2θ 42.2, I = 52, hkl 2 2 4; 2θ 44.0, I = 43, hkl 4 0 2